Structure and simulated X-ray powder pattern of Nd4Dy2HoEr (a DFT-relaxed cell (PBE, Alexandria); CuKα).

Main lines, low angle first (2θ from 10° to 90°):
(1 1 2), 2θ = 30.4°, d = 2.941 Å, I 1000; (0 2 0), 2θ = 34.9°, d = 2.570 Å, I 173; (2 0 0), 2θ = 35.1°, d = 2.557 Å, I 171; (0 0 4), 2θ = 35.7°, d = 2.515 Å, I 163; (2 2 0), 2θ = 50.3°, d = 1.813 Å, I 123; (0 2 4), 2θ = 50.8°, d = 1.798 Å, I 120; (1 3 2), 2θ = 59.8°, d = 1.546 Å, I 147; (3 1 2), 2θ = 60.1°, d = 1.540 Å, I 145; (1 1 6), 2θ = 60.9°, d = 1.522 Å, I 139; (2 2 4), 2θ = 63.2°, d = 1.471 Å, I 124

Cell and atoms:
```
8
Lattice="5.1144 0.0000 0.0000 0.0000 5.1406 0.0000 0.0000 0.0000 10.0605" Properties=species:S:1:pos:R:3 pbc="T T T"
Nd 0.0000 0.0000 2.5107
Nd 0.0000 0.0000 7.5498
Nd 2.5572 2.5703 2.5128
Nd 2.5572 2.5703 7.5477
Dy 0.0000 2.5703 0.0000
Dy 2.5572 0.0000 5.0302
Ho 0.0000 2.5703 5.0302
Er 2.5572 0.0000 0.0000
```